# AlS2NO8
Computed powder X-ray diffraction pattern, CuKα. Input: a crystal structure in the Materials Project, relaxed with GGA-PBE.
Kinematic intensities with the Lorentz-polarization factor, no thermal factor.

Unit cell a=5.0071 b=5.0071 c=8.3630 alpha=90.00 beta=90.00 gamma=120.00
Sites, in units of the cell vectors:
Al 0.0000 0.0000 0.0000
S 0.3333 0.6667 0.1967
S 0.6667 0.3333 0.8033
N 0.0000 0.0000 0.5000
O 0.1554 0.3466 0.1347
O 0.1912 0.8446 0.1347
O 0.3333 0.6667 0.3701
O 0.3466 0.1554 0.8653
O 0.6534 0.8088 0.1347
O 0.6667 0.3333 0.6299
O 0.8088 0.6534 0.8653
O 0.8446 0.1912 0.8653

Most intense lines, 2θ = 10–90°, low angle first:
hkl	2θ/deg	I_rel
0 0 1	10.58	63.6
0 1 1	23.10	100.0
0 1 2	29.68	27.7
0 0 3	32.11	6.3
1 1 0	35.87	15.7
0 2 2	47.22	11.7
0 2 3	53.55	6.0
1 2 1	57.28	10.3